Ho2MgCuSi4O12: computed powder diffraction line list (CuKα), based on a DFT-relaxed cell (GGA-PBE, Alexandria).
Kinematic intensities with the Lorentz-polarization factor, no thermal factor.

The 10 most intense peaks (2θ = 10–90°), sorted by position:
hkl 0 2 0, 2θ = 12.60°, rel. 64; hkl 1 1 0, 2θ = 13.89°, rel. 70; hkl 0 0 1, 2θ = 17.21°, rel. 42; hkl 0 2 1, 2θ = 21.39°, rel. 100; hkl 1 1 1, 2θ = 24.06°, rel. 50; hkl 2 0 -1, 2θ = 27.38°, rel. 98; hkl 1 3 1, 2θ = 30.13°, rel. 34; hkl 0 4 1, 2θ = 30.82°, rel. 59; hkl 1 5 0, 2θ = 34.30°, rel. 57; hkl 1 5 1, 2θ = 39.78°, rel. 43

Cell and atoms:
a = 7.2983 Å, b = 14.0456 Å, c = 5.2573 Å
α = 90.00°, β = 101.48°, γ = 90.00°
Space group C2/m (No. 12)
One atom of each set of equivalent atoms:
Ho1 0.0000 0.2073 0.0000 x4
Mg1 0.0000 0.0000 0.5000 x2
Cu1 0.0000 0.0000 0.0000 x2
Si1 0.1929 0.3856 0.4113 x8
O1 0.0000 0.3523 0.5000 x4
O2 0.1300 0.1145 0.3429 x8
O3 0.1830 0.5000 0.3167 x4
O4 0.2224 0.3182 0.1715 x8

---

BaSn2Te5: computed powder diffraction line list (CuKα), based on a DFT-relaxed cell (GGA-PBE, Alexandria).
Kinematic intensities with the Lorentz-polarization factor, no thermal factor.

The 10 most intense peaks (2θ = 10–90°), sorted by position:
hkl 0 0 6, 2θ = 27.57°, rel. 100; hkl 1 1 4, 2θ = 28.02°, rel. 27; hkl 1 3 0, 2θ = 29.06°, rel. 85; hkl 1 3 1, 2θ = 29.43°, rel. 64; hkl 1 3 2, 2θ = 30.52°, rel. 49; hkl 1 3 4, 2θ = 34.55°, rel. 74; hkl 2 0 0, 2θ = 40.30°, rel. 47; hkl 1 3 6, 2θ = 40.49°, rel. 46; hkl 1 3 7, 2θ = 43.98°, rel. 28; hkl 2 0 6, 2θ = 49.53°, rel. 40

Cell and atoms:
a = 4.4753 Å, b = 12.6762 Å, c = 19.4144 Å
α = 90.00°, β = 90.00°, γ = 90.00°
Space group Cmcm (No. 63)
One atom of each set of equivalent atoms:
Ba1 0.0000 0.0447 0.2500 x4
Sn1 0.0000 0.1890 0.5991 x8
Te1 0.0000 0.1517 0.0735 x8
Te2 0.0000 0.2435 0.7500 x4
Te3 0.0000 0.4748 0.1034 x8

---

Repeat the second record exactly.
BaSn2Te5: computed powder diffraction line list (CuKα), based on a DFT-relaxed cell (GGA-PBE, Alexandria).
Kinematic intensities with the Lorentz-polarization factor, no thermal factor.

The 10 most intense peaks (2θ = 10–90°), sorted by position:
hkl 0 0 6, 2θ = 27.57°, rel. 100; hkl 1 1 4, 2θ = 28.02°, rel. 27; hkl 1 3 0, 2θ = 29.06°, rel. 85; hkl 1 3 1, 2θ = 29.43°, rel. 64; hkl 1 3 2, 2θ = 30.52°, rel. 49; hkl 1 3 4, 2θ = 34.55°, rel. 74; hkl 2 0 0, 2θ = 40.30°, rel. 47; hkl 1 3 6, 2θ = 40.49°, rel. 46; hkl 1 3 7, 2θ = 43.98°, rel. 28; hkl 2 0 6, 2θ = 49.53°, rel. 40

Cell and atoms:
a = 4.4753 Å, b = 12.6762 Å, c = 19.4144 Å
α = 90.00°, β = 90.00°, γ = 90.00°
Space group Cmcm (No. 63)
One atom of each set of equivalent atoms:
Ba1 0.0000 0.0447 0.2500 x4
Sn1 0.0000 0.1890 0.5991 x8
Te1 0.0000 0.1517 0.0735 x8
Te2 0.0000 0.2435 0.7500 x4
Te3 0.0000 0.4748 0.1034 x8